(1)
Structure and calculated X-ray diffraction stick pattern of Sr3Al4Cd (a structure optimized by DFT (PBE); copper Kα).

Structural model:
a b c (Å): 6.0383 12.3817 6.3496
angles (deg): 90.00 90.00 90.00
Space group Pmmn (No. 59, origin choice 2)
Symmetry-distinct sites (fractional):
Sr  0.2500  0.9996  0.1895 [4 per cell]
Sr  0.2500  0.2500  0.5431 [2 per cell]
Al  0.0161  0.2500  0.0463 [4 per cell]
Al  0.2500  0.6340  0.6924 [4 per cell]
Cd  0.2500  0.7500  0.3098 [2 per cell]

Main lines, most intense first (10° ≤ 2θ ≤ 90°):
- (1 4 1), 2θ = 35.5°, I 100
- (1 0 1), 2θ = 20.3°, I 90
- (0 4 0), 2θ = 28.8°, I 71
- (2 0 0), 2θ = 29.6°, I 67
- (2 2 1), 2θ = 36.0°, I 66
- (1 1 2), 2θ = 32.7°, I 54

(2)
Structure and calculated X-ray diffraction stick pattern of CeTmGa2Pt5 (a structure optimized by DFT (PBE); copper Kα).

Structural model:
a b c (Å): 4.2036 4.2036 9.3137
angles (deg): 90.00 90.00 90.00
Space group P4/mmm (No. 123)
Symmetry-distinct sites (fractional):
Ce  0.0000  0.0000  0.0000 [1 per cell]
Tm  0.0000  0.0000  0.5000 [1 per cell]
Ga  0.5000  0.5000  0.3710 [2 per cell]
Pt  0.0000  0.5000  0.2254 [4 per cell]
Pt  0.5000  0.5000  0.0000 [1 per cell]

Main lines, most intense first (10° ≤ 2θ ≤ 90°):
- (1 1 2), 2θ = 35.8°, I 100
- (2 0 0), 2θ = 43.0°, I 40
- (3 1 2), 2θ = 74.2°, I 26
- (1 1 3), 2θ = 42.1°, I 16
- (2 0 4), 2θ = 59.2°, I 15
- (2 2 0), 2θ = 62.5°, I 13

(3)
Structure and calculated X-ray diffraction stick pattern of SmZnAu6 (a structure optimized by DFT (PBE); copper Kα).

Structural model:
a b c (Å): 4.0028 4.0028 10.3631
angles (deg): 90.00 90.00 90.00
Space group P4/mmm (No. 123)
Symmetry-distinct sites (fractional):
Sm  0.0000  0.0000  0.0000 [1 per cell]
Zn  0.0000  0.0000  0.5000 [1 per cell]
Au  0.0000  0.5000  0.3268 [4 per cell]
Au  0.5000  0.5000  0.1301 [2 per cell]

Main lines, most intense first (10° ≤ 2θ ≤ 90°):
- (1 1 3), 2θ = 41.2°, I 100
- (1 1 1), 2θ = 32.8°, I 92
- (2 0 0), 2θ = 45.3°, I 74
- (1 1 2), 2θ = 36.2°, I 58
- (1 0 4), 2θ = 41.5°, I 36
- (3 1 3), 2θ = 80.9°, I 29

(4)
Structure and calculated X-ray diffraction stick pattern of K3Pu3VS8 (a structure optimized by DFT (PBE); copper Kα).

Structural model:
a b c (Å): 7.8683 7.8683 22.4484
angles (deg): 90.00 90.00 120.00
Space group R-3m (No. 166, hexagonal axes)
Symmetry-distinct sites (fractional):
K  0.0000  0.5000  0.0000 [9 per cell]
Pu  0.0000  0.5000  0.5000 [9 per cell]
V  0.0000  0.0000  0.5000 [3 per cell]
S  0.0000  0.0000  0.2343 [6 per cell]
S  0.0234  0.5117  0.2284 [18 per cell]

Main lines, most intense first (10° ≤ 2θ ≤ 90°):
- (0 0 3), 2θ = 11.8°, I 100
- (0 2 4), 2θ = 30.7°, I 76
- (0 2 1), 2θ = 26.5°, I 31
- (2 0 2), 2θ = 27.4°, I 31
- (2 0 8), 2θ = 41.7°, I 27
- (0 2 7), 2θ = 38.5°, I 27

(5)
Structure and calculated X-ray diffraction stick pattern of Rb2SnHI6 (a structure optimized by DFT (PBE); copper Kα).

Structural model:
a b c (Å): 7.8402 7.8402 13.0692
angles (deg): 90.00 90.00 90.00
Space group I4/mmm (No. 139)
Symmetry-distinct sites (fractional):
Rb  0.0000  0.5000  0.2500 [4 per cell]
Sn  0.0000  0.0000  0.0000 [2 per cell]
H  0.0000  0.0000  0.5000 [2 per cell]
I  0.0000  0.0000  0.2303 [4 per cell]
I  0.2353  0.2353  0.5000 [8 per cell]

Main lines, most intense first (10° ≤ 2θ ≤ 90°):
- (2 0 2), 2θ = 26.5°, I 100
- (2 2 0), 2θ = 32.3°, I 51
- (2 2 4), 2θ = 42.8°, I 44
- (0 0 4), 2θ = 27.3°, I 39
- (4 2 2), 2θ = 54.2°, I 24
- (4 0 4), 2θ = 54.6°, I 21

(6)
Structure and calculated X-ray diffraction stick pattern of Ce2CoNi3 (a structure optimized by DFT (PBE); copper Kα).

Structural model:
a b c (Å): 5.0078 5.0078 12.6426
angles (deg): 90.00 90.00 120.00
Space group R-3m (No. 166, hexagonal axes)
Symmetry-distinct sites (fractional):
Ce  0.0000  0.0000  0.1266 [6 per cell]
Co  0.0000  0.0000  0.5000 [3 per cell]
Ni  0.0000  0.5000  0.0000 [9 per cell]

Main lines, most intense first (10° ≤ 2θ ≤ 90°):
- (1 1 3), 2θ = 42.0°, I 100
- (1 0 4), 2θ = 35.1°, I 60
- (1 1 0), 2θ = 35.9°, I 54
- (0 2 1), 2θ = 42.3°, I 49
- (0 1 5), 2θ = 41.3°, I 47
- (2 0 2), 2θ = 44.2°, I 25